For Na3Cu2Sn4, the PBE geometry in Alexandria gives the computed XRD peak list in this record (λ = 1.5418 Å (Cu Kα)).
Neutral-atom scattering factors, no anomalous dispersion.

Atomic structure:
```
Na3Cu2Sn4
1.0
7.021 -5.162 0.000
7.021 5.162 0.000
-2.240 0.000 6.344
Na Cu Sn
6 4 8
Direct
0.076 0.924 0.750 Na
0.278 0.493 0.855 Na
0.493 0.278 0.355 Na
0.507 0.722 0.645 Na
0.722 0.507 0.145 Na
0.924 0.076 0.250 Na
0.069 0.358 0.435 Cu
0.358 0.069 0.935 Cu
0.642 0.931 0.065 Cu
0.931 0.642 0.565 Cu
0.095 0.282 0.036 Sn
0.156 0.603 0.336 Sn
0.282 0.095 0.536 Sn
0.397 0.844 0.164 Sn
0.603 0.156 0.836 Sn
0.718 0.905 0.464 Sn
0.844 0.397 0.664 Sn
0.905 0.718 0.964 Sn
```

Most intense lines, 2θ from 5° to 70°, by intensity:
2θ 13.37, rel. 1000; 2θ 31.36, rel. 916; 2θ 33.16, rel. 496; 2θ 35.21, rel. 495; 2θ 34.98, rel. 394; 2θ 29.98, rel. 391; 2θ 32.07, rel. 337; 2θ 21.90, rel. 307


For Na3Cu2Sn5, the PBE geometry in Alexandria gives the computed XRD peak list in this record (λ = 1.5418 Å (Cu Kα)).
Neutral-atom scattering factors, no anomalous dispersion.

Atomic structure:
```
Na3Cu2Sn5
1.0
10.787 0.000 0.000
0.000 10.787 0.000
0.000 0.000 4.179
Na Cu Sn
6 4 10
Direct
0.000 0.000 0.000 Na
0.174 0.326 0.000 Na
0.326 0.826 0.000 Na
0.500 0.500 0.000 Na
0.674 0.174 0.000 Na
0.826 0.674 0.000 Na
0.124 0.624 0.000 Cu
0.376 0.124 0.000 Cu
0.624 0.876 0.000 Cu
0.876 0.376 0.000 Cu
0.000 0.500 0.500 Sn
0.070 0.780 0.500 Sn
0.220 0.070 0.500 Sn
0.280 0.570 0.500 Sn
0.430 0.280 0.500 Sn
0.500 0.000 0.500 Sn
0.570 0.720 0.500 Sn
0.720 0.430 0.500 Sn
0.780 0.930 0.500 Sn
0.930 0.220 0.500 Sn
```

Most intense lines, 2θ from 5° to 70°, by intensity:
2θ 33.92, rel. 1000; 2θ 36.95, rel. 816; 2θ 18.39, rel. 815; 2θ 43.31, rel. 619; 2θ 21.26, rel. 514; 2θ 34.27, rel. 497; 2θ 39.78, rel. 406; 2θ 40.69, rel. 360


For NaSr2Cu2, the PBE geometry in Alexandria gives the computed XRD peak list in this record (λ = 1.5418 Å (Cu Kα)).
Neutral-atom scattering factors, no anomalous dispersion.

Atomic structure:
```
NaSr2Cu2
1.0
8.906 0.000 0.000
0.000 8.906 0.000
0.000 0.000 3.778
Na Sr Cu
2 4 4
Direct
0.000 0.000 0.000 Na
0.500 0.500 0.000 Na
0.167 0.333 0.000 Sr
0.333 0.833 0.000 Sr
0.667 0.167 0.000 Sr
0.833 0.667 0.000 Sr
0.107 0.607 0.500 Cu
0.393 0.107 0.500 Cu
0.607 0.893 0.500 Cu
0.893 0.393 0.500 Cu
```

Most intense lines, 2θ from 5° to 70°, by intensity:
2θ 32.67, rel. 1000; 2θ 14.06, rel. 438; 2θ 31.77, rel. 290; 2θ 41.82, rel. 160; 2θ 43.79, rel. 134; 2θ 36.37, rel. 124; 2θ 31.04, rel. 115; 2θ 67.84, rel. 101


For Na2Sr3Cu2, the PBE geometry in Alexandria gives the computed XRD peak list in this record (λ = 1.5418 Å (Cu Kα)).
Neutral-atom scattering factors, no anomalous dispersion.

Atomic structure:
```
Na2Sr3Cu2
1.0
5.653 -2.147 0.000
5.653 2.147 0.000
-3.368 0.000 10.873
Na Sr Cu
2 3 2
Direct
0.123 0.123 0.437 Na
0.877 0.877 0.563 Na
0.000 0.000 0.000 Sr
0.346 0.346 0.246 Sr
0.654 0.654 0.754 Sr
0.270 0.270 0.961 Cu
0.730 0.730 0.039 Cu
```

Most intense lines, 2θ from 5° to 70°, by intensity:
2θ 8.13, rel. 1000; 2θ 31.64, rel. 351; 2θ 32.43, rel. 285; 2θ 29.18, rel. 263; 2θ 16.02, rel. 235; 2θ 40.99, rel. 165; 2θ 22.89, rel. 158; 2θ 35.23, rel. 154


For NaSrCu10, the PBE geometry in Alexandria gives the computed XRD peak list in this record (λ = 1.5418 Å (Cu Kα)).
Neutral-atom scattering factors, no anomalous dispersion.

Atomic structure:
```
NaSrCu10
1.0
4.056 0.000 0.000
0.000 5.106 0.000
0.000 0.000 8.957
Na Sr Cu
1 1 10
Direct
0.000 0.000 0.000 Na
0.000 0.500 0.500 Sr
0.000 0.000 0.320 Cu
0.000 0.000 0.680 Cu
0.000 0.500 0.158 Cu
0.000 0.500 0.842 Cu
0.500 0.000 0.500 Cu
0.500 0.250 0.245 Cu
0.500 0.250 0.755 Cu
0.500 0.500 0.000 Cu
0.500 0.750 0.245 Cu
0.500 0.750 0.755 Cu
```

Most intense lines, 2θ from 5° to 70°, by intensity:
2θ 41.51, rel. 1000; 2θ 46.68, rel. 509; 2θ 41.81, rel. 501; 2θ 44.69, rel. 477; 2θ 20.02, rel. 319; 2θ 40.68, rel. 288; 2θ 46.31, rel. 233; 2θ 67.41, rel. 215


For NaCu2Te2, the PBE geometry in Alexandria gives the computed XRD peak list in this record (λ = 1.5418 Å (Cu Kα)).
Neutral-atom scattering factors, no anomalous dispersion.

Atomic structure:
```
NaCu2Te2
1.0
10.610 0.000 0.000
0.000 4.192 0.000
0.000 0.000 10.759
Na Cu Te
4 8 8
Direct
0.220 0.250 0.176 Na
0.280 0.750 0.676 Na
0.720 0.250 0.324 Na
0.780 0.750 0.824 Na
0.042 0.750 0.418 Cu
0.067 0.750 0.959 Cu
0.433 0.250 0.459 Cu
0.458 0.250 0.918 Cu
0.542 0.750 0.082 Cu
0.567 0.750 0.541 Cu
0.933 0.250 0.041 Cu
0.958 0.250 0.582 Cu
0.039 0.250 0.818 Te
0.176 0.250 0.464 Te
0.324 0.750 0.964 Te
0.461 0.750 0.318 Te
0.539 0.250 0.682 Te
0.676 0.250 0.036 Te
0.824 0.750 0.536 Te
0.961 0.750 0.182 Te
```

Most intense lines, 2θ from 5° to 70°, by intensity:
2θ 28.37, rel. 1000; 2θ 43.75, rel. 827; 2θ 47.70, rel. 667; 2θ 33.96, rel. 659; 2θ 24.28, rel. 573; 2θ 43.16, rel. 560; 2θ 16.71, rel. 533; 2θ 40.75, rel. 528


For Na3CuTe3, the PBE geometry in Alexandria gives the computed XRD peak list in this record (λ = 1.5418 Å (Cu Kα)).
Neutral-atom scattering factors, no anomalous dispersion.

Atomic structure:
```
Na3CuTe3
1.0
4.652 -5.194 0.000
4.652 5.194 0.000
-1.245 0.000 8.394
Na Cu Te
6 2 6
Direct
0.164 0.836 0.000 Na
0.271 0.729 0.500 Na
0.385 0.385 0.116 Na
0.615 0.615 0.884 Na
0.729 0.271 0.500 Na
0.836 0.164 0.000 Na
0.113 0.113 0.606 Cu
0.887 0.887 0.394 Cu
0.141 0.141 0.299 Te
0.161 0.458 0.766 Te
0.458 0.161 0.766 Te
0.542 0.839 0.234 Te
0.839 0.542 0.234 Te
0.859 0.859 0.701 Te
```

Most intense lines, 2θ from 5° to 70°, by intensity:
2θ 30.07, rel. 1000; 2θ 21.17, rel. 582; 2θ 15.72, rel. 528; 2θ 39.23, rel. 479; 2θ 20.61, rel. 357; 2θ 23.37, rel. 355; 2θ 26.56, rel. 291; 2θ 27.52, rel. 269


For NaCu3Te2, the PBE geometry in Alexandria gives the computed XRD peak list in this record (λ = 1.5418 Å (Cu Kα)).
Neutral-atom scattering factors, no anomalous dispersion.

Atomic structure:
```
NaCu3Te2
1.0
2.142 1.237 7.971
-2.142 1.237 7.971
0.000 -2.474 7.971
Na Cu Te
1 3 2
Direct
0.000 0.000 0.000 Na
0.133 0.133 0.133 Cu
0.499 0.499 0.499 Cu
0.867 0.867 0.867 Cu
0.246 0.246 0.246 Te
0.754 0.754 0.754 Te
```

Most intense lines, 2θ from 5° to 70°, by intensity:
2θ 38.68, rel. 1000; 2θ 11.10, rel. 960; 2θ 42.18, rel. 835; 2θ 28.31, rel. 451; 2θ 25.13, rel. 408; 2θ 58.55, rel. 284; 2θ 43.75, rel. 200; 2θ 67.57, rel. 146


For NaCu4Te5, the PBE geometry in Alexandria gives the computed XRD peak list in this record (λ = 1.5418 Å (Cu Kα)).
Neutral-atom scattering factors, no anomalous dispersion.

Atomic structure:
```
NaCu4Te5
1.0
7.919 0.000 0.000
0.000 11.837 0.000
0.000 0.000 5.879
Na Cu Te
2 8 10
Direct
0.250 0.250 0.062 Na
0.750 0.750 0.938 Na
0.075 0.750 0.584 Cu
0.250 0.538 0.054 Cu
0.250 0.962 0.054 Cu
0.425 0.750 0.584 Cu
0.575 0.250 0.416 Cu
0.750 0.038 0.946 Cu
0.750 0.462 0.946 Cu
0.925 0.250 0.416 Cu
0.010 0.553 0.729 Te
0.010 0.947 0.729 Te
0.250 0.750 0.217 Te
0.490 0.553 0.729 Te
0.490 0.947 0.729 Te
0.510 0.053 0.271 Te
0.510 0.447 0.271 Te
0.750 0.250 0.783 Te
0.990 0.053 0.271 Te
0.990 0.447 0.271 Te
```

Most intense lines, 2θ from 5° to 70°, by intensity:
2θ 41.18, rel. 1000; 2θ 13.45, rel. 918; 2θ 27.12, rel. 876; 2θ 47.34, rel. 845; 2θ 28.20, rel. 797; 2θ 27.22, rel. 745; 2θ 52.08, rel. 535; 2θ 14.97, rel. 443


For NaCu3Te3, the PBE geometry in Alexandria gives the computed XRD peak list in this record (λ = 1.5418 Å (Cu Kα)).
Neutral-atom scattering factors, no anomalous dispersion.

Atomic structure:
```
NaCu3Te3
1.0
3.518 2.031 8.251
-3.518 2.031 8.251
0.000 -4.062 8.251
Na Cu Te
2 6 6
Direct
0.166 0.166 0.166 Na
0.834 0.834 0.834 Na
0.026 0.699 0.361 Cu
0.301 0.639 0.974 Cu
0.361 0.026 0.699 Cu
0.639 0.974 0.301 Cu
0.699 0.361 0.026 Cu
0.974 0.301 0.639 Cu
0.079 0.411 0.739 Te
0.261 0.921 0.589 Te
0.411 0.739 0.079 Te
0.589 0.261 0.921 Te
0.739 0.079 0.411 Te
0.921 0.589 0.261 Te
```

Most intense lines, 2θ from 5° to 70°, by intensity:
2θ 41.69, rel. 1000; 2θ 27.57, rel. 941; 2θ 10.72, rel. 806; 2θ 44.62, rel. 649; 2θ 25.32, rel. 586; 2θ 62.70, rel. 286; 2θ 51.35, rel. 242; 2θ 33.48, rel. 238


For NaCu6Te4, the PBE geometry in Alexandria gives the computed XRD peak list in this record (λ = 1.5418 Å (Cu Kα)).
Neutral-atom scattering factors, no anomalous dispersion.

Atomic structure:
```
NaCu6Te4
1.0
-2.037 2.037 14.202
2.037 -2.037 14.202
2.037 2.037 -14.202
Na Cu Te
1 6 4
Direct
0.000 0.000 0.000 Na
0.126 0.626 0.500 Cu
0.250 0.750 0.500 Cu
0.374 0.874 0.500 Cu
0.626 0.126 0.500 Cu
0.750 0.250 0.500 Cu
0.874 0.374 0.500 Cu
0.189 0.189 0.000 Te
0.431 0.431 0.000 Te
0.569 0.569 0.000 Te
0.811 0.811 0.000 Te
```

Most intense lines, 2θ from 5° to 70°, by intensity:
2θ 40.31, rel. 1000; 2θ 26.93, rel. 607; 2θ 6.22, rel. 438; 2θ 44.47, rel. 430; 2θ 23.77, rel. 383; 2θ 52.75, rel. 185; 2θ 47.20, rel. 139; 2θ 64.70, rel. 134


For NaCu3Te2, the PBE geometry in Alexandria gives the computed XRD peak list in this record (λ = 1.5418 Å (Cu Kα)).
Neutral-atom scattering factors, no anomalous dispersion.

Atomic structure:
```
NaCu3Te2
1.0
8.066 -2.104 0.000
8.066 2.104 0.000
-4.090 0.000 7.822
Na Cu Te
2 6 4
Direct
0.128 0.128 0.106 Na
0.872 0.872 0.894 Na
0.051 0.051 0.411 Cu
0.310 0.310 0.539 Cu
0.413 0.413 0.393 Cu
0.587 0.587 0.607 Cu
0.690 0.690 0.461 Cu
0.949 0.949 0.589 Cu
0.209 0.209 0.697 Te
0.499 0.499 0.787 Te
0.501 0.501 0.213 Te
0.791 0.791 0.303 Te
```

Most intense lines, 2θ from 5° to 70°, by intensity:
2θ 11.31, rel. 1000; 2θ 41.94, rel. 511; 2θ 33.74, rel. 455; 2θ 40.50, rel. 428; 2θ 42.98, rel. 294; 2θ 44.93, rel. 255; 2θ 24.76, rel. 226; 2θ 22.02, rel. 188